Structure and theoretical X-ray diffraction stick pattern of MoCl4O (the PBE+U geometry in the Materials Project; Cu Kα X-rays).
Neutral-atom scattering factors, no anomalous dispersion.

Atomic structure:
```
data_MoCl4O
_cell_length_a 6.642
_cell_length_b 7.676
_cell_length_c 7.789
_cell_angle_alpha 103.49
_cell_angle_beta 93.27
_cell_angle_gamma 108.15
_symmetry_space_group_name_H-M 'P -1'
_symmetry_Int_Tables_number 2
loop_
_symmetry_equiv_pos_as_xyz
'x,y,z'
'-x,-y,-z'
loop_
_atom_site_label
_atom_site_fract_x
_atom_site_fract_y
_atom_site_fract_z
Mo1 0.070 0.218 0.273
Cl1 0.156 0.680 0.883
Cl2 0.175 0.091 0.847
Cl3 0.323 0.074 0.306
Cl4 0.345 0.485 0.265
O1 0.011 0.272 0.483
```

Main lines, in order of rising 2θ (2θ from 10° to 90°):
d 6.249, 2θ 14.17, I = 87; d 5.981, 2θ 14.81, I = 100; d 5.717, 2θ 15.50, I = 37; d 4.563, 2θ 19.45, I = 57; d 4.368, 2θ 20.33, I = 41; d 3.749, 2θ 23.73, I = 57; d 2.752, 2θ 32.54, I = 46; d 2.703, 2θ 33.15, I = 46



Structure and theoretical X-ray diffraction stick pattern of Li2Mn3F8 (the PBE+U geometry in the Materials Project; Cu Kα X-rays).
Neutral-atom scattering factors, no anomalous dispersion.

Atomic structure:
```
data_Li2Mn3F8
_cell_length_a 17.880
_cell_length_b 6.175
_cell_length_c 5.675
_cell_angle_alpha 90.00
_cell_angle_beta 93.21
_cell_angle_gamma 90.00
_symmetry_space_group_name_H-M 'C 1 2/c 1'
_symmetry_Int_Tables_number 15
loop_
_symmetry_equiv_pos_as_xyz
'x,y,z'
'-x,-y,-z'
'-x,y,-z+1/2'
'x,-y,z+1/2'
'x+1/2,y+1/2,z'
'-x+1/2,-y+1/2,-z'
'-x+1/2,y+1/2,-z+1/2'
'x+1/2,-y+1/2,z+1/2'
loop_
_atom_site_label
_atom_site_fract_x
_atom_site_fract_y
_atom_site_fract_z
Li1 0.103 0.136 0.284
Mn1 0.000 0.361 0.750
Mn2 0.207 0.339 0.734
F1 0.060 0.372 0.085
F2 0.083 0.143 0.629
F3 0.186 0.345 0.363
F4 0.207 0.076 0.955
```

Main lines, in order of rising 2θ (2θ from 10° to 90°):
d 5.836, 2θ 15.18, I = 55; d 4.463, 2θ 19.89, I = 61; d 4.029, 2θ 22.07, I = 50; d 3.090, 2θ 28.89, I = 54; d 2.771, 2θ 32.31, I = 60; d 2.345, 2θ 38.38, I = 100; d 1.783, 2θ 51.23, I = 41; d 1.611, 2θ 57.17, I = 43



Structure and theoretical X-ray diffraction stick pattern of LiV3O5F3 (the PBE+U geometry in the Materials Project; Cu Kα X-rays).
Neutral-atom scattering factors, no anomalous dispersion.

Atomic structure:
```
data_LiV3O5F3
_cell_length_a 6.656
_cell_length_b 3.835
_cell_length_c 12.053
_cell_angle_alpha 90.00
_cell_angle_beta 102.59
_cell_angle_gamma 90.00
_symmetry_space_group_name_H-M 'P 1 m 1'
_symmetry_Int_Tables_number 6
loop_
_symmetry_equiv_pos_as_xyz
'x,y,z'
'x,-y,z'
loop_
_atom_site_label
_atom_site_fract_x
_atom_site_fract_y
_atom_site_fract_z
Li1 0.000 0.000 0.000
Li2 0.369 0.500 0.366
V1 0.109 0.500 0.754
V2 0.324 0.000 0.623
V3 0.459 0.000 0.880
V4 0.509 0.000 0.135
V5 0.868 0.500 0.218
V6 0.915 0.500 0.478
O1 0.052 0.500 0.349
O2 0.155 0.000 0.744
O3 0.223 0.500 0.609
O4 0.314 0.000 0.008
O5 0.370 0.500 0.850
O6 0.540 0.000 0.726
O7 0.576 0.500 0.155
O8 0.680 0.500 0.399
O9 0.689 0.000 0.968
O10 0.804 0.000 0.203
F1 0.009 0.500 0.100
F2 0.368 0.000 0.253
F3 0.394 0.000 0.480
F4 0.850 0.500 0.632
F5 0.955 0.500 0.862
F6 0.983 0.000 0.503
```

Main lines, in order of rising 2θ (2θ from 10° to 90°):
d 6.297, 2θ 14.06, I = 100; d 3.302, 2θ 27.00, I = 74; d 3.248, 2θ 27.46, I = 13; d 2.930, 2θ 30.51, I = 22; d 2.270, 2θ 39.70, I = 23; d 2.140, 2θ 42.23, I = 25; d 1.917, 2θ 47.41, I = 25; d 1.465, 2θ 63.50, I = 13



Structure and theoretical X-ray diffraction stick pattern of V4O5F7 (the PBE+U geometry in the Materials Project; Cu Kα X-rays).
Neutral-atom scattering factors, no anomalous dispersion.

Atomic structure:
```
data_V4O5F7
_cell_length_a 5.188
_cell_length_b 5.317
_cell_length_c 9.061
_cell_angle_alpha 73.09
_cell_angle_beta 89.79
_cell_angle_gamma 61.81
_symmetry_space_group_name_H-M 'P 1'
_symmetry_Int_Tables_number 1
loop_
_symmetry_equiv_pos_as_xyz
'x,y,z'
loop_
_atom_site_label
_atom_site_fract_x
_atom_site_fract_y
_atom_site_fract_z
V1 0.000 0.000 0.000
V2 0.222 0.515 0.766
V3 0.540 0.020 0.505
V4 0.774 0.527 0.259
O1 0.036 0.784 0.889
O2 0.084 0.283 0.847
O3 0.577 0.264 0.353
O4 0.895 0.786 0.593
O5 0.909 0.761 0.184
F1 0.084 0.260 0.442
F2 0.411 0.763 0.679
F3 0.423 0.758 0.095
F4 0.464 0.261 0.639
F5 0.525 0.768 0.392
F6 0.576 0.278 0.934
F7 0.971 0.250 0.143
```

Main lines, in order of rising 2θ (2θ from 10° to 90°):
d 3.754, 2θ 23.70, I = 100; d 3.688, 2θ 24.13, I = 51; d 2.670, 2θ 33.56, I = 7; d 2.258, 2θ 39.93, I = 12; d 1.877, 2θ 48.50, I = 22; d 1.844, 2θ 49.43, I = 9; d 1.693, 2θ 54.17, I = 7; d 1.659, 2θ 55.39, I = 9



Structure and theoretical X-ray diffraction stick pattern of DyMoO5 (the PBE+U geometry in the Materials Project; Cu Kα X-rays).
Neutral-atom scattering factors, no anomalous dispersion.

Atomic structure:
```
data_DyMoO5
_cell_length_a 5.361
_cell_length_b 12.605
_cell_length_c 6.942
_cell_angle_alpha 90.00
_cell_angle_beta 116.93
_cell_angle_gamma 90.00
_symmetry_space_group_name_H-M 'P 1 21/c 1'
_symmetry_Int_Tables_number 14
loop_
_symmetry_equiv_pos_as_xyz
'x,y,z'
'-x,-y,-z'
'-x,y+1/2,-z+1/2'
'x,-y+1/2,z+1/2'
loop_
_atom_site_label
_atom_site_fract_x
_atom_site_fract_y
_atom_site_fract_z
Dy1 0.158 0.058 0.285
Mo1 0.415 0.136 0.855
O1 0.042 0.556 0.986
O2 0.202 0.060 0.958
O3 0.263 0.655 0.414
O4 0.282 0.234 0.274
O5 0.486 0.576 0.842
```

Main lines, in order of rising 2θ (2θ from 10° to 90°):
d 6.302, 2θ 14.05, I = 100; d 4.469, 2θ 19.87, I = 56; d 3.939, 2θ 22.57, I = 71; d 3.391, 2θ 26.28, I = 45; d 3.229, 2θ 27.62, I = 47; d 3.155, 2θ 28.29, I = 59; d 3.060, 2θ 29.18, I = 54; d 2.615, 2θ 34.30, I = 45